Entry 1:
Structure and simulated powder X-ray diffraction pattern of MnAgPIrBr (a cell relaxed with GGA-PBE; Cu Kα (weighted mean of Kα1 and Kα2)).
Lines closer than 0.1° are merged.

Top 10 peaks for 10 to 90 degrees two-theta, by angle:
2theta	I/Imax
10.93	41
21.95	26
28.42	49
28.94	30
32.51	38
34.85	100
38.32	61
39.58	34
49.97	28
51.61	27

Structure:
```
MnAgPIrBr
1.0
3.2013 -1.7710 0.0000
3.2013 1.7710 0.0000
-1.5941 0.0000 8.0979
Mn Ag P Ir Br
1 1 1 1 1
Direct
0.0000 0.0000 0.0000
0.3811 0.3811 0.2297
0.6346 0.6346 0.8696
0.2783 0.2783 0.7533
0.7545 0.7545 0.4857
```

Entry 2:
Structure and simulated powder X-ray diffraction pattern of CaMg14Sn (a cell relaxed with GGA-PBE; Cu Kα (weighted mean of Kα1 and Kα2)).
Lines closer than 0.1° are merged.

Top 10 peaks for 10 to 90 degrees two-theta, by angle:
2theta	I/Imax
17.66	18
18.05	18
32.17	32
34.29	39
35.76	55
36.57	100
47.72	19
56.18	20
62.91	20
67.50	21

Structure:
```
CaMg14Sn
1.0
10.4599 0.0000 0.0000
0.0000 3.1848 5.7258
0.0000 -3.1848 5.7258
Ca Mg Sn
1 14 1
Direct
0.0000 0.0000 0.0000
0.0000 0.0052 0.4944
0.0000 0.4944 0.0052
0.2413 0.6612 0.6612
0.2566 0.1596 0.6596
0.2574 0.1643 0.1643
0.2566 0.6596 0.1596
0.5000 0.5012 0.5012
0.5000 0.5021 0.9948
0.5000 0.9948 0.5021
0.5000 0.9994 0.9994
0.7434 0.1596 0.6596
0.7426 0.1643 0.1643
0.7434 0.6596 0.1596
0.7587 0.6612 0.6612
0.0000 0.4910 0.4910
```

Entry 3:
Structure and simulated powder X-ray diffraction pattern of ZnCo2Pb (a cell relaxed with GGA-PBE; Cu Kα (weighted mean of Kα1 and Kα2)).
Lines closer than 0.1° are merged.

Top 10 peaks for 10 to 90 degrees two-theta, by angle:
2theta	I/Imax
19.86	17
23.19	21
29.51	19
36.84	16
40.34	24
40.56	100
42.60	22
60.11	14
73.50	14
76.59	15

Structure:
```
ZnCo2Pb
1.0
-1.6082 2.1225 4.4713
1.6082 -2.1225 4.4713
1.6082 2.1225 -4.4713
Zn Co Pb
1 2 1
Direct
0.0000 0.0000 0.0000
0.2456 0.7456 0.5000
0.4648 0.4648 0.0000
0.7242 0.2242 0.5000
```

Entry 4:
Structure and simulated powder X-ray diffraction pattern of Sr2CeNdSb4 (a cell relaxed with GGA-PBE; Cu Kα (weighted mean of Kα1 and Kα2)).
Lines closer than 0.1° are merged.

Top 10 peaks for 10 to 90 degrees two-theta, by angle:
2theta	I/Imax
11.62	8
27.24	100
38.75	37
39.05	39
48.26	21
56.19	12
63.33	16
63.70	12
70.50	8
70.63	6

Structure:
```
Sr2CeNdSb4
1.0
8.0023 0.0000 0.0000
0.0000 4.6065 0.0000
-2.6682 0.0000 7.6175
Sr Ce Nd Sb
2 1 1 4
Direct
0.0000 0.0000 0.0000
0.5000 0.5000 0.0000
0.0000 0.5000 0.5000
0.5000 0.0000 0.5000
0.2371 0.0000 0.7255
0.2526 0.5000 0.2710
0.7474 0.5000 0.7290
0.7629 0.0000 0.2745
```

Entry 5:
Structure and simulated powder X-ray diffraction pattern of Y2ThSc5 (a cell relaxed with GGA-PBE; Cu Kα (weighted mean of Kα1 and Kα2)).
Lines closer than 0.1° are merged.

Top 10 peaks for 10 to 90 degrees two-theta, by angle:
2theta	I/Imax
17.06	36
22.26	19
27.36	14
30.18	25
33.10	25
34.52	100
45.40	16
53.60	18
60.04	19
64.46	20

Structure:
```
Y2ThSc5
1.0
0.0000 5.4129 5.9168
3.4234 0.0000 5.9168
3.4234 5.4129 0.0000
Y Th Sc
2 1 5
Direct
0.2451 0.7549 0.2451
0.7549 0.2451 0.7549
0.3310 0.3310 0.6690
0.2491 0.2491 0.2509
0.3387 0.8324 0.6613
0.7491 0.7491 0.7509
0.8273 0.8273 0.1727
0.8324 0.3387 0.1676
```

Entry 6:
Structure and simulated powder X-ray diffraction pattern of NdY4 (a cell relaxed with GGA-PBE; Cu Kα (weighted mean of Kα1 and Kα2)).
Lines closer than 0.1° are merged.

Top 10 peaks for 10 to 90 degrees two-theta, by angle:
2theta	I/Imax
30.46	100
30.60	33
35.36	67
50.78	23
50.95	23
60.40	32
60.55	18
63.39	12
82.73	11
85.36	7

Structure:
```
NdY4
1.0
3.1135 -1.7984 0.0000
3.1135 1.7984 0.0000
-2.0444 0.0000 14.6100
Nd Y
1 4
Direct
0.0000 0.0000 0.0000
0.1999 0.1999 0.5995
0.4002 0.4002 0.2024
0.5998 0.5998 0.7976
0.8001 0.8001 0.4005
```

Entry 7:
Structure and simulated powder X-ray diffraction pattern of AgBRu (a cell relaxed with GGA-PBE; Cu Kα (weighted mean of Kα1 and Kα2)).
Lines closer than 0.1° are merged.

Top 10 peaks for 10 to 90 degrees two-theta, by angle:
2theta	I/Imax
32.04	100
33.70	63
37.96	63
38.83	76
42.11	53
46.14	85
50.21	34
71.18	30
72.88	17
77.13	19

Structure:
```
AgBRu
1.0
1.4657 -9.4810 0.0000
1.4657 9.4810 0.0000
0.0000 0.0000 2.9235
Ag B Ru
2 2 2
Direct
0.1949 0.8051 0.7500
0.8051 0.1949 0.2500
0.0292 0.9708 0.2500
0.9708 0.0292 0.7500
0.4341 0.5659 0.2500
0.5659 0.4341 0.7500
```

Entry 8:
Structure and simulated powder X-ray diffraction pattern of Sm3ScBi4 (a cell relaxed with GGA-PBE; Cu Kα (weighted mean of Kα1 and Kα2)).
Lines closer than 0.1° are merged.

Top 10 peaks for 10 to 90 degrees two-theta, by angle:
2theta	I/Imax
24.26	11
28.08	100
40.13	65
40.18	13
49.68	21
58.06	13
65.65	12
65.75	24
72.87	13
72.99	13

Structure:
```
Sm3ScBi4
1.0
7.7734 0.0000 0.0000
0.0000 9.0015 0.0000
-2.5963 0.0000 7.3339
Sm Sc Bi
6 2 8
Direct
0.0000 0.1243 0.2500
0.0000 0.3736 0.7500
0.0000 0.6264 0.2500
0.0000 0.8757 0.7500
0.5000 0.3741 0.2500
0.5000 0.6259 0.7500
0.5000 0.1246 0.7500
0.5000 0.8754 0.2500
0.2561 0.3684 0.5066
0.2561 0.6316 0.0066
0.2636 0.1178 0.9998
0.2636 0.8822 0.4998
0.7364 0.1178 0.5002
0.7364 0.8822 0.0002
0.7439 0.3684 0.9934
0.7439 0.6316 0.4934
```